Entry 1:
Starting from a cell relaxed with GGA-PBE, the powder diffraction line list of Mg5In was simulated for copper Kα.
No peak broadening, texture or thermal motion is included.

Structure:
```
data_Mg5In
_cell_length_a 6.2128
_cell_length_b 6.2128
_cell_length_c 6.2128
_cell_angle_alpha 52.07
_cell_angle_beta 52.07
_cell_angle_gamma 52.07
_symmetry_space_group_name_H-M 'P 1'
_symmetry_Int_Tables_number 1
loop_
_symmetry_equiv_pos_as_xyz
'x,y,z'
loop_
_atom_site_label
_atom_site_fract_x
_atom_site_fract_y
_atom_site_fract_z
_atom_site_occupancy
Mg1 0.0000 0.6666 0.3334 1
Mg2 0.1671 0.1671 0.1671 1
Mg3 0.3334 0.0000 0.6666 1
Mg4 0.6666 0.3334 0.0000 1
Mg5 0.8329 0.8329 0.8329 1
In1 0.5000 0.5000 0.5000 1
```

Largest 10 diffraction maxima, by intensity, 10 to 90 degrees two-theta:
2theta	I (rel.)
37.0	100.0
19.6	43.5
21.8	33.5
32.8	31.3
33.5	28.1
47.6	21.5
16.6	21.1
62.1	20.7
69.2	18.8
29.2	16.7

Entry 2:
Starting from a cell relaxed with GGA-PBE, the powder diffraction line list of Sr2LiLaTi4O12 was simulated for copper Kα.
No peak broadening, texture or thermal motion is included.

Structure:
```
data_Sr2LiLaTi4O12
_cell_length_a 8.7720
_cell_length_b 8.7720
_cell_length_c 8.7720
_cell_angle_alpha 143.12
_cell_angle_beta 143.12
_cell_angle_gamma 53.15
_symmetry_space_group_name_H-M 'P 1'
_symmetry_Int_Tables_number 1
loop_
_symmetry_equiv_pos_as_xyz
'x,y,z'
loop_
_atom_site_label
_atom_site_fract_x
_atom_site_fract_y
_atom_site_fract_z
_atom_site_occupancy
Sr1 0.2483 0.2483 0.0000 1
Sr2 0.7517 0.7517 0.0000 1
Li1 0.0000 0.0000 0.0000 1
La1 0.5000 0.5000 0.0000 1
Ti1 0.1237 0.6237 0.5000 1
Ti2 0.3763 0.8763 0.5000 1
Ti3 0.6237 0.1237 0.5000 1
Ti4 0.8763 0.3763 0.5000 1
O1 0.0000 0.5000 0.5000 1
O2 0.1330 0.1330 0.5127 1
O3 0.1330 0.6202 0.0000 1
O4 0.2500 0.7500 0.5000 1
O5 0.3798 0.3798 0.5127 1
O6 0.3798 0.8670 0.0000 1
O7 0.5000 0.0000 0.5000 1
O8 0.6202 0.1330 0.0000 1
O9 0.6202 0.6202 0.4873 1
O10 0.7500 0.2500 0.5000 1
O11 0.8670 0.3798 0.0000 1
O12 0.8670 0.8670 0.4873 1
```

Largest 10 diffraction maxima, by intensity, 10 to 90 degrees two-theta:
2theta	I (rel.)
32.3	100.0
46.3	43.4
57.5	37.9
16.9	29.5
67.5	24.5
39.8	20.1
76.8	16.2
23.4	13.8
85.8	8.0
36.7	7.7